This entry pairs a crystal structure of Pa2OsPt with its computed powder diffractogram. Radiation: Cu Kα. Structure: the PBE geometry in Alexandria.

Atomic structure:
abc: 5.739 7.544 4.274
angles: 90.00 90.00 90.00
Fractional coordinates of all 8 atoms:
Pa 0.237 0.166 0.000
Pa 0.263 0.666 0.500
Pa 0.737 0.334 0.500
Pa 0.763 0.834 0.000
Os 0.000 0.000 0.500
Os 0.500 0.500 0.000
Pt 0.000 0.500 0.000
Pt 0.500 0.000 0.500

Most intense lines, 2θ = 10–90°, by angle:
| d_spacing | 2theta | Rel. int. |
| --- | --- | --- |
| 3.152 | 28.31 | 51 |
| 3.121 | 28.60 | 99 |
| 2.284 | 39.46 | 50 |
| 2.272 | 39.67 | 100 |
| 2.167 | 41.67 | 83 |
| 2.137 | 42.29 | 40 |
| 1.769 | 51.68 | 20 |
| 1.701 | 53.90 | 17 |
| 1.576 | 58.57 | 16 |
| 1.560 | 59.21 | 31 |
| 1.258 | 75.59 | 23 |
| 1.196 | 80.24 | 24 |